Entry 1:
The following is a simulated powder X-ray diffraction pattern of Mg16PaAl12. It was derived from a crystal structure in the Materials Project, relaxed with PBE, using Cu Kα (λ = 1.5418 Å).
No peak broadening, texture or thermal motion is included.

Structural model:
abc: 10.534 10.534 10.534
angles: 90.00 90.00 90.00
Space group I-43m (No. 217)
Symmetry-distinct sites (fractional):
Mg1 0.037 0.358 0.358
Mg2 0.181 0.181 0.819
Pa1 0.000 0.000 0.000
Al1 0.091 0.091 0.276

Most intense lines, 10° ≤ 2θ ≤ 90°, sorted by position:
| hkl | 2θ (°) | Rel. int. |
| --- | --- | --- |
| 1 1 0 | 11.88 | 716 |
| 2 1 1 | 20.65 | 360 |
| 3 1 0 | 26.76 | 213 |
| 3 2 1 | 31.78 | 349 |
| 3 3 0 | 36.18 | 1000 |
| 3 3 2 | 40.15 | 200 |
| 4 2 2 | 42.02 | 194 |
| 7 2 1 | 65.07 | 301 |

=====

Entry 2:
The following is a simulated powder X-ray diffraction pattern of MgSn2O4. It was derived from a crystal structure in the Materials Project, relaxed with PBE, using Cu Kα (λ = 1.5418 Å).
No peak broadening, texture or thermal motion is included.

Structural model:
abc: 3.177 10.757 12.090
angles: 90.00 103.46 90.00
Space group P2_1/c (No. 14)
Symmetry-distinct sites (fractional):
Mg1 0.058 0.161 0.310
Sn1 0.320 0.606 0.576
Sn2 0.411 0.619 0.888
O1 0.163 0.524 0.403
O2 0.215 0.226 0.963
O3 0.418 0.551 0.161
O4 0.457 0.706 0.732

Most intense lines, 10° ≤ 2θ ≤ 90°, sorted by position:
| hkl | 2θ (°) | Rel. int. |
| --- | --- | --- |
| 0 2 1 | 18.14 | 700 |
| 0 1 3 | 24.17 | 214 |
| 0 2 3 | 28.17 | 1000 |
| 1 0 0 | 28.90 | 218 |
| 1 2 -1 | 32.75 | 362 |
| 0 4 0 | 33.32 | 283 |
| 1 2 -3 | 36.61 | 273 |
| 1 3 0 | 38.46 | 276 |

=====

Entry 3:
The following is a simulated powder X-ray diffraction pattern of Er3Lu. It was derived from a crystal structure in the Materials Project, relaxed with PBE, using Cu Kα (λ = 1.5418 Å).
No peak broadening, texture or thermal motion is included.

Structural model:
abc: 7.1085 7.1085 5.5611
angles: 90.00 90.00 120.00
Space group P6_3/mmc (No. 194)
Symmetry-distinct sites (fractional):
Er1 0.1670 0.3340 0.2500
Lu1 0.3333 0.6667 0.7500

Most intense lines, 10° ≤ 2θ ≤ 90°, sorted by position:
| hkl | 2θ (°) | Rel. int. |
| --- | --- | --- |
| 2 0 0 | 29.01 | 238 |
| 0 0 2 | 32.19 | 242 |
| 2 0 1 | 33.27 | 1000 |
| 2 0 2 | 43.88 | 156 |
| 2 2 0 | 51.42 | 197 |
| 2 0 3 | 58.09 | 205 |
| 2 2 2 | 61.97 | 225 |
| 4 0 1 | 62.63 | 164 |

=====

Entry 4:
The following is a simulated powder X-ray diffraction pattern of MgTi2O5. It was derived from a crystal structure in the Materials Project, relaxed with PBE, using Cu Kα (λ = 1.5418 Å).
No peak broadening, texture or thermal motion is included.

Structural model:
abc: 3.425 11.895 4.860
angles: 90.00 90.00 90.00
Space group Pmmn (No. 59, origin choice 2)
Symmetry-distinct sites (fractional):
Mg1 0.250 0.250 0.137
Ti1 0.250 0.602 0.402
O1 0.250 0.074 0.437
O2 0.250 0.640 0.056
O3 0.250 0.750 0.567

Most intense lines, 10° ≤ 2θ ≤ 90°, sorted by position:
| hkl | 2θ (°) | Rel. int. |
| --- | --- | --- |
| 0 0 1 | 18.26 | 1000 |
| 0 2 1 | 23.64 | 410 |
| 1 1 0 | 27.09 | 447 |
| 0 3 1 | 29.07 | 513 |
| 1 0 1 | 31.97 | 673 |
| 1 3 0 | 34.61 | 418 |
| 1 2 2 | 48.41 | 335 |
| 2 0 0 | 53.51 | 309 |